For Sc2AgHRu, a structure optimized by DFT (GGA-PBE) gives the calculated X-ray powder pattern in this record (Cu Kα (weighted mean of Kα1 and Kα2)).
Peak positions follow from Bragg's law for the DFT cell and can differ from measured ones.

Atomic structure:
```
Sc2AgHRu
1.0
4.615 0.000 0.000
0.000 4.615 0.000
0.000 0.000 3.557
Sc Ag H Ru
2 1 1 1
direct
0.000 0.500 0.000
0.500 0.000 0.000
0.000 0.000 0.500
0.500 0.500 0.000
0.500 0.500 0.500
```

Main lines, in order of rising 2θ (2θ = 15–90°):
2θ/deg	Rel. int.	h k l
25.03	12	0 0 1
27.33	20	1 1 0
37.40	100	1 1 1
39.03	45	2 0 0
46.94	9	2 0 1
51.38	10	0 0 2
56.39	14	2 2 0
66.36	17	2 0 2
69.64	29	3 1 1
79.76	10	2 2 2